Record 1
For DyHo5Sc6, a GGA-PBE-relaxed structure gives the calculated powder X-ray diffraction pattern in this record (λ = 1.5418 Å (Cu Kα)).

Most intense lines, 2θ = 5–70°, by angle:
2theta	Rel. int.
16.20	54
30.77	36
32.22	100
32.74	32
37.53	66
41.12	17
53.78	23
54.46	22
56.55	14
64.40	26

Structure:
Cell: 5.903 5.903 11.116 Å, 95.07 95.07 119.96°
Fractional coordinates of all 12 atoms:
Dy1 0.000 0.000 0.000
Ho1 0.167 0.833 0.500
Ho2 0.333 0.667 0.000
Ho3 0.500 0.500 0.500
Ho4 0.667 0.333 0.000
Ho5 0.833 0.167 0.500
Sc1 0.083 0.416 0.250
Sc2 0.250 0.250 0.750
Sc3 0.416 0.083 0.250
Sc4 0.584 0.917 0.750
Sc5 0.750 0.750 0.250
Sc6 0.917 0.584 0.750

***

Record 2
For Pr2Ge2BRu2, a GGA-PBE-relaxed structure gives the calculated powder X-ray diffraction pattern in this record (λ = 1.5418 Å (Cu Kα)).

Most intense lines, 2θ = 5–70°, by angle:
2theta	Rel. int.
31.59	91
32.05	37
33.15	48
33.82	100
37.22	49
38.57	44
41.71	44
54.29	24
58.10	26
60.94	21

Structure:
Cell: 6.072 6.072 7.265 Å, 126.61 126.61 41.78°
Fractional coordinates of all 7 atoms:
Pr1 0.061 0.061 0.324
Pr2 0.939 0.939 0.676
Ge1 0.334 0.334 0.886
Ge2 0.666 0.666 0.114
B1 0.500 0.500 0.500
Ru1 0.294 0.294 0.186
Ru2 0.706 0.706 0.814

***

Record 3
For Er3ThIr8, a GGA-PBE-relaxed structure gives the calculated powder X-ray diffraction pattern in this record (λ = 1.5418 Å (Cu Kα)).

Most intense lines, 2θ = 5–70°, by angle:
2theta	Rel. int.
33.30	27
36.40	72
39.34	100
40.05	97
41.38	19
44.06	24
61.55	29
63.58	25
66.98	32
69.93	31

Structure:
Cell: 5.381 5.381 8.728 Å, 90.00 90.00 120.00°
Fractional coordinates of all 12 atoms:
Er1 0.000 0.000 0.000
Er2 0.000 0.000 0.361
Er3 0.333 0.667 0.875
Th1 0.333 0.667 0.506
Ir1 0.007 0.503 0.184
Ir2 0.326 0.163 0.688
Ir3 0.497 0.503 0.184
Ir4 0.497 0.993 0.184
Ir5 0.667 0.333 0.434
Ir6 0.667 0.333 0.936
Ir7 0.837 0.163 0.688
Ir8 0.837 0.674 0.688